This entry pairs a crystal structure of LiYSe2 with its simulated XRD peak list. Radiation: Cu Kα (λ = 1.5418 Å). Structure: a DFT-relaxed cell (PBE, the Materials Project).

Structure:
Cell: 5.699 5.699 11.592 Å, 90.00 90.00 90.00°
Space group I4_1/amd (No. 141, origin choice 2)
One atom of each set of equivalent atoms:
1 Li 0.000 0.250 0.375 [4 per cell]
2 Y 0.000 0.250 0.875 [4 per cell]
3 Se 0.000 0.250 0.122 [8 per cell]

Main lines, sorted by position (2θ = 5–70°):
| 2θ/deg | d (Å) | intensity |
| --- | --- | --- |
| 17.34 | 5.115 | 53.2 |
| 26.95 | 3.309 | 18.3 |
| 27.90 | 3.198 | 12.1 |
| 30.86 | 2.898 | 52.2 |
| 31.39 | 2.850 | 100.0 |
| 36.08 | 2.489 | 16.5 |
| 42.08 | 2.147 | 6.9 |
| 42.49 | 2.128 | 7.5 |
| 44.60 | 2.032 | 73.8 |
| 44.99 | 2.015 | 36.1 |
| 55.55 | 1.654 | 38.0 |
| 65.51 | 1.425 | 11.5 |

---

This entry pairs a crystal structure of LiYSe2 with its simulated XRD peak list. Radiation: Cu Kα (λ = 1.5418 Å). Structure: a DFT-relaxed cell (PBE, the Materials Project).

Structure:
Cell: 4.0728 4.0728 19.5356 Å, 90.00 90.00 120.00°
Space group R-3m (No. 166, hexagonal axes)
One atom of each set of equivalent atoms:
1 Li 0.0000 0.0000 0.0000 [3 per cell]
2 Y 0.0000 0.0000 0.5000 [3 per cell]
3 Se 0.0000 0.0000 0.2511 [6 per cell]

Main lines, sorted by position (2θ = 5–70°):
| 2θ/deg | d (Å) | intensity |
| --- | --- | --- |
| 13.60 | 6.512 | 26.0 |
| 25.66 | 3.471 | 19.4 |
| 26.87 | 3.318 | 9.2 |
| 31.28 | 2.859 | 100.0 |
| 34.25 | 2.618 | 10.0 |
| 41.25 | 2.189 | 4.3 |
| 44.49 | 2.036 | 37.0 |
| 45.16 | 2.008 | 35.3 |
| 46.74 | 1.944 | 6.6 |
| 55.39 | 1.659 | 19.1 |
| 56.53 | 1.628 | 6.0 |
| 65.26 | 1.430 | 11.5 |

---

This entry pairs a crystal structure of LiYSe2 with its simulated XRD peak list. Radiation: Cu Kα (λ = 1.5418 Å). Structure: a DFT-relaxed cell (PBE, the Materials Project).

Structure:
Cell: 4.093 4.093 5.575 Å, 90.00 90.00 90.00°
Space group P4/mmm (No. 123)
One atom of each set of equivalent atoms:
1 Li 0.000 0.000 0.000 [1 per cell]
2 Y 0.500 0.500 0.500 [1 per cell]
3 Se 0.000 0.000 0.500 [1 per cell]
4 Se 0.500 0.500 0.000 [1 per cell]

Main lines, sorted by position (2θ = 5–70°):
| 2θ/deg | d (Å) | intensity |
| --- | --- | --- |
| 15.90 | 5.575 | 28.8 |
| 21.71 | 4.093 | 27.8 |
| 27.03 | 3.299 | 17.5 |
| 30.90 | 2.894 | 100.0 |
| 32.11 | 2.788 | 45.0 |
| 34.93 | 2.569 | 16.1 |
| 39.10 | 2.304 | 11.7 |
| 44.26 | 2.047 | 36.3 |
| 45.16 | 2.008 | 68.4 |
| 47.32 | 1.921 | 6.7 |
| 55.72 | 1.650 | 36.2 |
| 64.38 | 1.447 | 11.6 |

---

This entry pairs a crystal structure of LiZrSe2 with its simulated XRD peak list. Radiation: Cu Kα (λ = 1.5418 Å). Structure: a DFT-relaxed cell (PBE, the Materials Project).

Structure:
Cell: 3.7410 3.7410 6.7016 Å, 90.00 90.00 120.00°
Space group P-3m1 (No. 164)
One atom of each set of equivalent atoms:
1 Li 0.0000 0.0000 0.0000 [1 per cell]
2 Zr 0.0000 0.0000 0.5000 [1 per cell]
3 Se 0.3333 0.6667 0.7538 [2 per cell]

Main lines, sorted by position (2θ = 5–70°):
| 2θ/deg | d (Å) | intensity |
| --- | --- | --- |
| 13.21 | 6.702 | 32.8 |
| 26.60 | 3.351 | 3.3 |
| 30.65 | 2.917 | 100.0 |
| 38.66 | 2.329 | 61.5 |
| 40.38 | 2.234 | 2.8 |
| 48.68 | 1.870 | 32.8 |
| 49.57 | 1.839 | 24.0 |
| 50.67 | 1.802 | 6.2 |
| 54.79 | 1.675 | 7.6 |
| 58.63 | 1.575 | 15.2 |
| 63.82 | 1.458 | 13.6 |
| 65.03 | 1.434 | 4.0 |

---

This entry pairs a crystal structure of Li2Si with its simulated XRD peak list. Radiation: Cu Kα (λ = 1.5418 Å). Structure: a DFT-relaxed cell (PBE, the Materials Project).

Structure:
Cell: 4.3435 4.3435 18.4307 Å, 90.00 90.00 120.00°
Space group R-3m (No. 166, hexagonal axes)
One atom of each set of equivalent atoms:
1 Li 0.0000 0.0000 0.1443 [6 per cell]
2 Li 0.0000 0.0000 0.2951 [6 per cell]
3 Si 0.0000 0.0000 0.4378 [6 per cell]

Main lines, sorted by position (2θ = 5–70°):
| 2θ/deg | d (Å) | intensity |
| --- | --- | --- |
| 14.42 | 6.144 | 29.0 |
| 24.15 | 3.686 | 100.0 |
| 25.58 | 3.483 | 30.6 |
| 41.58 | 2.172 | 51.7 |
| 41.88 | 2.157 | 43.8 |
| 44.23 | 2.048 | 12.6 |
| 46.21 | 1.965 | 20.8 |
| 48.66 | 1.871 | 12.9 |
| 51.54 | 1.773 | 8.9 |
| 60.49 | 1.530 | 15.1 |
| 62.32 | 1.490 | 9.7 |
| 65.89 | 1.418 | 10.3 |

---

This entry pairs a crystal structure of Li13Si4 with its simulated XRD peak list. Radiation: Cu Kα (λ = 1.5418 Å). Structure: a DFT-relaxed cell (PBE, the Materials Project).

Structure:
Cell: 7.898 15.012 4.421 Å, 90.00 90.00 90.00°
Space group Pbam (No. 55)
One atom of each set of equivalent atoms:
1 Li 0.000 0.000 0.000 [2 per cell]
2 Li 0.090 0.255 0.500 [4 per cell]
3 Li 0.095 0.694 0.000 [4 per cell]
4 Li 0.096 0.894 0.500 [4 per cell]
5 Li 0.152 0.525 0.000 [4 per cell]
6 Li 0.230 0.346 0.000 [4 per cell]
7 Li 0.242 0.095 0.500 [4 per cell]
8 Si 0.074 0.431 0.500 [4 per cell]
9 Si 0.083 0.160 0.000 [4 per cell]

Main lines, sorted by position (2θ = 5–70°):
| 2θ/deg | d (Å) | intensity |
| --- | --- | --- |
| 21.02 | 4.227 | 59.7 |
| 22.52 | 3.949 | 23.8 |
| 23.32 | 3.814 | 85.3 |
| 23.82 | 3.736 | 100.0 |
| 25.97 | 3.431 | 31.1 |
| 40.82 | 2.210 | 45.8 |
| 41.47 | 2.177 | 64.8 |
| 41.70 | 2.166 | 89.4 |
| 41.92 | 2.155 | 40.0 |
| 43.03 | 2.102 | 54.2 |
| 43.74 | 2.070 | 20.1 |
| 59.95 | 1.543 | 27.3 |